Record 1
H2IrN: simulated X-ray diffraction stick pattern (Cu Kα), based on a structure optimized by DFT (PBE).
No peak broadening, texture or thermal motion is included.

Structure:
Cell: 4.305 4.305 4.305 Å, 60.00 60.00 60.00°
Fractional coordinates of all 8 atoms:
H1 0.000 0.000 0.000
H2 0.000 0.000 0.500
H3 0.000 0.500 0.000
H4 0.500 0.000 0.000
Ir1 0.375 0.375 0.375
Ir2 0.625 0.625 0.625
N1 0.125 0.125 0.125
N2 0.875 0.875 0.875

Most intense lines, 2θ from 10° to 90°, most intense first:
d_spacing, I (rel.)
2.152, 100
3.515, 90
1.835, 49
1.243, 34
1.397, 20
1.522, 16


Record 2
TbNd2Sb2: simulated X-ray diffraction stick pattern (Cu Kα), based on a structure optimized by DFT (PBE).
No peak broadening, texture or thermal motion is included.

Structure:
Cell: 8.033 8.033 8.033 Å, 115.03 83.82 133.20°
Fractional coordinates of all 10 atoms:
Tb1 0.250 0.250 0.000
Tb2 0.750 0.750 0.000
Nd1 0.151 0.642 0.793
Nd2 0.349 0.142 0.491
Nd3 0.651 0.858 0.509
Nd4 0.849 0.358 0.207
Sb1 0.108 0.278 0.386
Sb2 0.392 0.778 0.170
Sb3 0.608 0.222 0.830
Sb4 0.892 0.722 0.614

Most intense lines, 2θ from 10° to 90°, most intense first:
d_spacing, I (rel.)
3.618, 100
2.903, 81
2.181, 76
2.796, 68
2.565, 66
1.883, 64